Entry 1:
Simulated powder X-ray diffraction pattern of Cs2BeCl6F for Cu Kα X-rays, from a structure optimized by DFT (GGA-PBE).
Kinematic intensities with the Lorentz-polarization factor, no thermal factor.

Main lines, low angle first (10 to 90 degrees two-theta):
| 2theta | I_rel | h k l |
| --- | --- | --- |
| 16.44 | 21 | 1 1 0 |
| 23.33 | 33 | 2 0 0 |
| 23.70 | 63 | 1 1 2 |
| 28.98 | 100 | 2 0 2 |
| 33.23 | 42 | 2 2 0 |
| 34.29 | 19 | 0 0 4 |
| 37.28 | 13 | 3 1 0 |
| 37.53 | 13 | 2 2 2 |
| 41.22 | 17 | 3 1 2 |
| 48.50 | 20 | 2 2 4 |
| 51.55 | 17 | 3 1 4 |
| 56.78 | 17 | 4 2 2 |

Structural model:
Cell lengths 7.6266, 7.6266, 10.4592 Å; angles 90.00, 90.00, 90.00 degrees
Space group I4/mmm (No. 139)
Asymmetric unit:
Cs 0.0000 0.5000 0.2500 x4
Be 0.0000 0.0000 0.0000 x2
Cl 0.0000 0.0000 0.3043 x4
Cl 0.1931 0.1931 0.0000 x8
F 0.0000 0.0000 0.5000 x2

***

Entry 2:
Simulated powder X-ray diffraction pattern of CsKBe2Cl6 for Cu Kα X-rays, from a structure optimized by DFT (GGA-PBE).
Kinematic intensities with the Lorentz-polarization factor, no thermal factor.

Main lines, low angle first (10 to 90 degrees two-theta):
| 2theta | I_rel | h k l |
| --- | --- | --- |
| 12.33 | 68 | 1 1 -1 |
| 16.62 | 41 | 0 2 1 |
| 20.34 | 37 | 0 0 2 |
| 20.61 | 100 | 2 2 -1 |
| 26.48 | 32 | 3 1 -2 |
| 27.50 | 45 | 1 3 -2 |
| 30.71 | 47 | 2 0 2 |
| 31.32 | 43 | 2 4 0 |
| 31.88 | 47 | 4 0 -2 |
| 31.96 | 43 | 2 2 -3 |
| 33.57 | 40 | 0 2 3 |
| 33.66 | 31 | 4 2 -1 |

Structural model:
Cell lengths 11.6211, 13.4615, 9.3922 Å; angles 90.00, 111.62, 90.00 degrees
Space group C2/c (No. 15)
Asymmetric unit:
Cs 0.0000 0.1499 0.2500 x4
K 0.0000 0.4107 0.7500 x4
Be 0.2488 0.3841 0.2874 x8
Cl 0.0911 0.3870 0.1193 x8
Cl 0.1639 0.2394 0.6537 x8
Cl 0.1917 0.0031 0.0951 x8

***

Entry 3:
Simulated powder X-ray diffraction pattern of CsLiBeCl4 for Cu Kα X-rays, from a structure optimized by DFT (GGA-PBE).
Kinematic intensities with the Lorentz-polarization factor, no thermal factor.

Main lines, low angle first (10 to 90 degrees two-theta):
| 2theta | I_rel | h k l |
| --- | --- | --- |
| 15.98 | 26 | 0 1 1 |
| 20.22 | 70 | 1 1 0 |
| 21.22 | 45 | 1 0 -2 |
| 23.40 | 52 | 0 1 2 |
| 25.36 | 34 | 0 2 0 |
| 28.78 | 80 | 1 0 2 |
| 29.14 | 50 | 1 0 -3 |
| 30.04 | 100 | 1 2 -1 |
| 30.32 | 47 | 2 0 -1 |
| 31.84 | 39 | 2 0 0 |
| 33.11 | 34 | 1 2 1 |
| 39.39 | 45 | 0 2 3 |

Structural model:
Cell lengths 5.8959, 7.0240, 9.4756 Å; angles 90.00, 107.34, 90.00 degrees
Space group P2_1/m (No. 11)
Asymmetric unit:
Cs 0.2328 0.2500 0.3633 x2
Li 0.3805 0.7500 0.0137 x2
Be 0.1274 0.2500 0.7941 x2
Cl 0.0144 0.2500 0.9739 x2
Cl 0.1380 0.7500 0.3971 x2
Cl 0.3479 0.0167 0.8060 x4

***

Entry 4:
Simulated powder X-ray diffraction pattern of Cs2NaBeCl6 for Cu Kα X-rays, from a structure optimized by DFT (GGA-PBE).
Kinematic intensities with the Lorentz-polarization factor, no thermal factor.

Main lines, low angle first (10 to 90 degrees two-theta):
| 2theta | I_rel | h k l |
| --- | --- | --- |
| 17.17 | 32 | 2 0 0 |
| 24.37 | 67 | 2 2 0 |
| 29.96 | 100 | 2 2 2 |
| 34.73 | 63 | 4 0 0 |
| 38.99 | 22 | 4 2 0 |
| 42.88 | 27 | 4 2 2 |
| 49.94 | 39 | 4 4 0 |
| 53.19 | 12 | 4 4 2 |
| 56.32 | 17 | 6 2 0 |
| 59.33 | 33 | 6 2 2 |
| 67.89 | 18 | 6 4 2 |
| 83.73 | 15 | 8 4 0 |

Structural model:
Cell lengths 10.3315, 10.3315, 10.3315 Å; angles 90.00, 90.00, 90.00 degrees
Space group Fm-3m (No. 225)
Asymmetric unit:
Cs 0.2500 0.2500 0.2500 x8
Na 0.0000 0.0000 0.0000 x4
Be 0.0000 0.0000 0.5000 x4
Cl 0.0000 0.0000 0.2768 x24

***

Entry 5:
Simulated powder X-ray diffraction pattern of Cs2BeRhCl6 for Cu Kα X-rays, from a structure optimized by DFT (GGA-PBE).
Kinematic intensities with the Lorentz-polarization factor, no thermal factor.

Main lines, low angle first (10 to 90 degrees two-theta):
| 2theta | I_rel | h k l |
| --- | --- | --- |
| 15.17 | 28 | 1 0 1 |
| 24.26 | 100 | 1 1 2 |
| 26.10 | 40 | 2 0 0 |
| 30.32 | 23 | 2 1 1 |
| 30.60 | 70 | 2 0 2 |
| 31.71 | 40 | 0 0 4 |
| 37.25 | 54 | 2 2 0 |
| 41.52 | 19 | 2 0 4 |
| 44.95 | 36 | 3 1 2 |
| 49.70 | 40 | 2 2 4 |
| 52.18 | 17 | 1 1 6 |
| 63.72 | 18 | 4 0 4 |

Structural model:
Cell lengths 6.8279, 6.8279, 11.2877 Å; angles 90.00, 90.00, 90.00 degrees
Space group I4/mmm (No. 139)
Asymmetric unit:
Cs 0.0000 0.5000 0.2500 x4
Be 0.0000 0.0000 0.0000 x2
Rh 0.0000 0.0000 0.5000 x2
Cl 0.0000 0.0000 0.2907 x4
Cl 0.2263 0.2263 0.0000 x8

***

Entry 6:
Simulated powder X-ray diffraction pattern of CsBeTlCl6 for Cu Kα X-rays, from a structure optimized by DFT (GGA-PBE).
Kinematic intensities with the Lorentz-polarization factor, no thermal factor.

Main lines, low angle first (10 to 90 degrees two-theta):
| 2theta | I_rel | h k l |
| --- | --- | --- |
| 11.30 | 22 | 0 0 1 |
| 15.76 | 17 | 1 0 0 |
| 19.43 | 100 | 1 0 1 |
| 27.47 | 14 | 1 1 0 |
| 27.76 | 18 | 1 0 2 |
| 33.88 | 22 | 2 0 1 |
| 35.93 | 43 | 1 1 2 |
| 38.00 | 17 | 1 0 3 |
| 44.15 | 26 | 2 1 1 |
| 47.53 | 12 | 2 0 3 |
| 48.57 | 12 | 3 0 0 |
| 54.75 | 11 | 2 -1 4 |

Structural model:
Cell lengths 6.4930, 6.4930, 7.8324 Å; angles 90.00, 90.00, 120.00 degrees
Space group P312 (No. 149)
Asymmetric unit:
Cs 0.0000 0.0000 0.0000 x1
Be 0.6667 0.3333 0.5000 x1
Tl 0.3333 0.6667 0.5000 x1
Cl 0.3918 0.0373 0.3231 x6

***

Entry 7:
Simulated powder X-ray diffraction pattern of Cs2ZrBeCl6 for Cu Kα X-rays, from a structure optimized by DFT (GGA-PBE).
Kinematic intensities with the Lorentz-polarization factor, no thermal factor.

Main lines, low angle first (10 to 90 degrees two-theta):
| 2theta | I_rel | h k l |
| --- | --- | --- |
| 14.95 | 17 | 1 0 1 |
| 23.92 | 100 | 1 1 2 |
| 25.69 | 42 | 2 0 0 |
| 29.86 | 19 | 2 1 1 |
| 30.15 | 88 | 2 0 2 |
| 31.33 | 47 | 0 0 4 |
| 36.66 | 59 | 2 2 0 |
| 40.94 | 23 | 2 0 4 |
| 44.25 | 35 | 3 1 2 |
| 48.97 | 47 | 2 2 4 |
| 52.81 | 18 | 4 0 0 |
| 62.70 | 21 | 4 0 4 |

Structural model:
Cell lengths 6.9341, 6.9341, 11.4223 Å; angles 90.00, 90.00, 90.00 degrees
Space group I4/mmm (No. 139)
Asymmetric unit:
Cs 0.0000 0.5000 0.2500 x4
Zr 0.0000 0.0000 0.0000 x2
Be 0.0000 0.0000 0.5000 x2
Cl 0.0000 0.0000 0.2291 x4
Cl 0.2230 0.2230 0.5000 x8

***

Entry 8:
Simulated powder X-ray diffraction pattern of BeCuCl4 for Cu Kα X-rays, from a structure optimized by DFT (GGA-PBE).
Kinematic intensities with the Lorentz-polarization factor, no thermal factor.

Main lines, low angle first (10 to 90 degrees two-theta):
| 2theta | I_rel | h k l |
| --- | --- | --- |
| 13.79 | 45 | 1 0 0 |
| 19.55 | 15 | 1 1 0 |
| 20.42 | 100 | 0 0 2 |
| 24.73 | 23 | 1 0 2 |
| 28.42 | 12 | 1 1 2 |
| 31.15 | 12 | 2 1 0 |
| 37.54 | 15 | 2 1 2 |
| 39.71 | 29 | 2 2 0 |
| 41.54 | 13 | 0 0 4 |
| 45.05 | 38 | 2 2 2 |
| 58.81 | 16 | 2 2 4 |
| 61.59 | 13 | 4 0 2 |

Structural model:
Cell lengths 6.4205, 6.4205, 8.6963 Å; angles 90.00, 90.00, 90.00 degrees
Space group P4_2/mmc (No. 131)
Asymmetric unit:
Be 0.0000 0.5000 0.0000 x2
Cu 0.0000 0.0000 0.0000 x2
Cl 0.2308 0.2669 0.0000 x8

***

Entry 9:
Simulated powder X-ray diffraction pattern of Rb2BeCuCl6 for Cu Kα X-rays, from a structure optimized by DFT (GGA-PBE).
Kinematic intensities with the Lorentz-polarization factor, no thermal factor.

Main lines, low angle first (10 to 90 degrees two-theta):
| 2theta | I_rel | h k l |
| --- | --- | --- |
| 24.94 | 71 | 1 1 2 |
| 25.79 | 31 | 2 0 0 |
| 30.16 | 27 | 2 1 1 |
| 31.03 | 100 | 2 0 2 |
| 34.30 | 40 | 0 0 4 |
| 36.80 | 69 | 2 2 0 |
| 44.97 | 24 | 3 1 2 |
| 51.18 | 43 | 2 2 4 |
| 53.02 | 20 | 4 0 0 |
| 59.42 | 17 | 2 0 6 |
| 62.71 | 18 | 4 2 2 |
| 64.68 | 19 | 4 0 4 |

Structural model:
Cell lengths 6.9087, 6.9087, 10.4580 Å; angles 90.00, 90.00, 90.00 degrees
Space group I4/mmm (No. 139)
Asymmetric unit:
Rb 0.0000 0.5000 0.2500 x4
Be 0.0000 0.0000 0.0000 x2
Cu 0.0000 0.0000 0.5000 x2
Cl 0.0000 0.0000 0.2896 x4
Cl 0.2209 0.2209 0.0000 x8

***

Entry 10:
Simulated powder X-ray diffraction pattern of Er4BeCl5 for Cu Kα X-rays, from a structure optimized by DFT (GGA-PBE).
Kinematic intensities with the Lorentz-polarization factor, no thermal factor.

Main lines, low angle first (10 to 90 degrees two-theta):
| 2theta | I_rel | h k l |
| --- | --- | --- |
| 11.05 | 88 | 0 0 1 |
| 21.47 | 35 | 4 0 1 |
| 24.08 | 21 | 2 0 2 |
| 27.48 | 28 | 3 1 0 |
| 27.68 | 27 | 6 0 0 |
| 28.96 | 37 | 4 0 2 |
| 29.70 | 29 | 3 1 1 |
| 33.03 | 100 | 1 1 -2 |
| 33.25 | 26 | 5 1 0 |
| 37.20 | 21 | 8 0 0 |
| 46.70 | 49 | 7 1 2 |
| 57.44 | 17 | 4 2 2 |

Structural model:
Cell lengths 19.3354, 3.7568, 8.0059 Å; angles 90.00, 90.16, 90.00 degrees
Space group C2/m (No. 12)
Asymmetric unit:
Er 0.0001 0.0000 0.2309 x4
Er 0.1299 0.5000 0.0007 x4
Be 0.0000 0.5000 0.0000 x2
Cl 0.0000 0.5000 0.5000 x2
Cl 0.1506 0.0000 0.2385 x4
Cl 0.1505 0.0000 0.7630 x4

***

Entry 11:
Simulated powder X-ray diffraction pattern of Be3ClF for Cu Kα X-rays, from a structure optimized by DFT (GGA-PBE).
Kinematic intensities with the Lorentz-polarization factor, no thermal factor.

Main lines, low angle first (10 to 90 degrees two-theta):
| 2theta | I_rel | h k l |
| --- | --- | --- |
| 21.55 | 5 | 1 0 0 |
| 30.67 | 100 | 1 1 0 |
| 37.79 | 17 | 1 1 1 |
| 43.92 | 36 | 2 0 0 |
| 49.43 | 2 | 2 1 0 |
| 54.52 | 30 | 2 1 1 |
| 63.86 | 20 | 2 2 0 |
| 68.24 | 1 | 3 0 0 |
| 72.50 | 11 | 3 1 0 |
| 76.65 | 7 | 3 1 1 |
| 80.74 | 7 | 2 2 2 |
| 88.79 | 12 | 3 2 1 |

Structural model:
Cell lengths 4.1230, 4.1230, 4.1230 Å; angles 90.00, 90.00, 90.00 degrees
Space group Pm-3m (No. 221)
Asymmetric unit:
Be 0.0000 0.0000 0.5000 x3
Cl 0.5000 0.5000 0.5000 x1
F 0.0000 0.0000 0.0000 x1

***

Entry 12:
Simulated powder X-ray diffraction pattern of BeFeCl2 for Cu Kα X-rays, from a structure optimized by DFT (GGA-PBE).
Kinematic intensities with the Lorentz-polarization factor, no thermal factor.

Main lines, low angle first (10 to 90 degrees two-theta):
| 2theta | I_rel | h k l |
| --- | --- | --- |
| 10.87 | 100 | 0 0 1 |
| 21.83 | 41 | 0 0 2 |
| 32.10 | 15 | 0 1 1 |
| 33.30 | 26 | 1 0 1 |
| 33.57 | 27 | 1 0 -2 |
| 37.50 | 25 | 0 1 2 |
| 42.66 | 41 | 1 1 -1 |
| 45.28 | 30 | 0 1 3 |
| 45.51 | 16 | 1 1 1 |
| 45.71 | 14 | 1 1 -2 |
| 48.84 | 10 | 1 0 3 |
| 49.29 | 10 | 1 0 -4 |

Structural model:
Cell lengths 3.0819, 2.9678, 8.2739 Å; angles 90.00, 100.22, 90.00 degrees
Space group Pm (No. 6)
Asymmetric unit:
Be 0.0000 0.0000 0.0000 x1
Fe 0.5976 0.5000 0.2112 x1
Cl 0.1785 0.0000 0.3805 x1
Cl 0.9185 0.5000 0.8331 x1